Structure and theoretical X-ray diffraction stick pattern of Sr3Pd8Pb4 (the GGA-PBE geometry in Alexandria; a wavelength of 1.5418 Å).
Neutral-atom scattering factors, no anomalous dispersion.

Cell and atoms:
```
data_Sr3Pd8Pb4
_cell_length_a 13.8335
_cell_length_b 13.8335
_cell_length_c 13.8335
_cell_angle_alpha 90.00
_cell_angle_beta 90.00
_cell_angle_gamma 90.00
_symmetry_space_group_name_H-M 'F m -3 m'
_symmetry_Int_Tables_number 225
_symmetry_space_group_name_Hall '-F 4 2 3'
loop_
_atom_site_label
_atom_site_fract_x
_atom_site_fract_y
_atom_site_fract_z
Sr1 0.0000 0.0000 0.2326
Pd1 0.1241 0.1241 0.3759
Pd2 0.1731 0.1731 0.1731
Pb1 0.0000 0.0000 0.0000
Pb2 0.0000 0.0000 0.5000
Pb3 0.0000 0.2500 0.2500
```

Principal peaks in the range 15 to 90 degrees two-theta, sorted by position:
22.3°, d = 3.993 Å, I = 22, (2 2 2); 25.8°, d = 3.458 Å, I = 12, (4 0 0); 33.7°, d = 2.662 Å, I = 13, (3 3 3); 36.8°, d = 2.445 Å, I = 100, (4 4 0); 43.4°, d = 2.085 Å, I = 27, (6 2 2); 66.2°, d = 1.412 Å, I = 31, (8 4 4); 78.2°, d = 1.223 Å, I = 13, (8 8 0); 89.6°, d = 1.094 Å, I = 12, (12 4 0)